The following is a calculated XRD peak list of Ac2PmSm5Tm. It was derived from a crystal structure in Alexandria, relaxed with PBE, using λ = 1.5418 Å (Cu Kα).
Neutral-atom scattering factors, no anomalous dispersion.

abc: 5.817 20.522 11.007
angles: 90.00 90.00 90.00
Space group Cmc2_1 (No. 36)
Asymmetric unit:
Ac (0.000, 0.110, 0.000) x4
Ac (0.000, 0.119, 0.589) x4
Pm (0.000, 0.207, 0.273) x4
Sm (0.000, 0.020, 0.293) x4
Sm (0.000, 0.285, 0.568) x4
Sm (0.000, 0.297, 0.965) x4
Sm (0.000, 0.397, 0.291) x4
Sm (0.000, 0.479, 0.008) x4
Tm (0.000, 0.410, 0.731) x4

Principal peaks in the range 5° ≤ 2θ ≤ 70°, low angle first:
25.81 deg, d 3.452, intensity 13; 27.30 deg, d 3.266, intensity 14; 29.10 deg, d 3.068, intensity 35; 30.74 deg, d 2.908, intensity 42; 31.23 deg, d 2.864, intensity 100; 32.54 deg, d 2.752, intensity 12; 49.22 deg, d 1.851, intensity 11; 54.97 deg, d 1.670, intensity 23; 57.65 deg, d 1.599, intensity 13; 59.16 deg, d 1.562, intensity 12